No. 1
Diffraction record for Dy2PaTc2. The powder diffraction line list is simulated, not measured: it uses a cell relaxed with GGA-PBE and Cu Kα.
Peak positions follow from Bragg's law for the DFT cell and can differ from measured ones.

Structural model:
Cell lengths 5.796, 5.796, 8.055 Å; angles 99.75, 99.75, 60.93 degrees
Positions (direct):
Dy: 0.027 0.277 0.149
Dy: 0.277 0.027 0.649
Dy: 0.723 0.973 0.351
Dy: 0.973 0.723 0.851
Pa: 0.380 0.620 0.250
Pa: 0.620 0.380 0.750
Tc: 0.237 0.503 0.487
Tc: 0.497 0.763 0.013
Tc: 0.503 0.237 0.987
Tc: 0.763 0.497 0.513

Peak list (6 most intense, 10° ≤ 2θ ≤ 90°, by angle)
d [Å], Position (°2θ), intensity
2.816, 31.78, 60
2.754, 32.51, 100
2.548, 35.22, 46
2.529, 35.50, 45
2.437, 36.89, 59
2.334, 38.58, 68

No. 2
Diffraction record for Y4PuS4. The powder diffraction line list is simulated, not measured: it uses a cell relaxed with GGA-PBE and Cu Kα.
Peak positions follow from Bragg's law for the DFT cell and can differ from measured ones.

Structural model:
Cell lengths 6.756, 6.756, 6.756 Å; angles 99.60, 99.60, 131.80 degrees
Positions (direct):
Y: 0.103 0.301 0.403
Y: 0.301 0.897 0.198
Y: 0.699 0.103 0.802
Y: 0.897 0.699 0.597
Pu: 0.500 0.500 0.000
S: 0.197 0.598 0.796
S: 0.402 0.197 0.599
S: 0.598 0.803 0.401
S: 0.803 0.402 0.204

Peak list (6 most intense, 10° ≤ 2θ ≤ 90°, by angle)
d [Å], Position (°2θ), intensity
4.663, 19.03, 28
3.185, 28.02, 86
2.758, 32.46, 100
1.950, 46.57, 72
1.663, 55.23, 40
1.234, 77.36, 31

- Number 2 is which compound?
  Y4PuS4

- Number 1 is which compound?
  Dy2PaTc2